Entry 1:
This entry pairs a crystal structure of TcGe4Rh with its calculated powder diffraction line list. Radiation: λ = 1.5418 Å (Cu Kα). Structure: the GGA-PBE geometry in Alexandria.
Neutral-atom scattering factors, no anomalous dispersion.

Crystal structure
```
data_TcGe4Rh
_symmetry_space_group_name_H-M 'P n c 2'
_symmetry_Int_Tables_number 30
_symmetry_space_group_name_Hall 'P 2 -2bc'
_cell_length_a 5.3720
_cell_length_b 6.3783
_cell_length_c 6.9209
_cell_angle_alpha 90.00
_cell_angle_beta 90.00
_cell_angle_gamma 90.00
loop_
_atom_site_label
_atom_site_fract_x
_atom_site_fract_y
_atom_site_fract_z
Tc1 0.0000 0.0000 0.0000
Ge1 0.1344 0.2380 0.2630
Ge2 0.3608 0.7294 0.4444
Rh1 0.5000 0.0000 0.2191
```

The 10 most intense peaks (15 to 90 degrees two-theta), low angle first:
d [Å], intensity, hkl
4.690, 88, 0 1 1
3.533, 37, 1 1 1
2.647, 55, 1 1 2
2.475, 47, 2 1 0
2.331, 22, 2 1 1
2.149, 100, 1 2 2
2.054, 19, 2 2 0
2.012, 27, 1 1 3
1.595, 24, 0 4 0
1.590, 25, 3 0 2

Entry 2:
This entry pairs a crystal structure of Ac5Tb2Pr2 with its calculated powder diffraction line list. Radiation: λ = 1.5418 Å (Cu Kα). Structure: the GGA-PBE geometry in Alexandria.
Neutral-atom scattering factors, no anomalous dispersion.

Crystal structure
```
data_Ac5Tb2Pr2
_symmetry_space_group_name_H-M 'P -1'
_symmetry_Int_Tables_number 2
_symmetry_space_group_name_Hall '-P 1'
_cell_length_a 6.6260
_cell_length_b 6.6328
_cell_length_c 8.6180
_cell_angle_alpha 82.32
_cell_angle_beta 74.93
_cell_angle_gamma 80.12
loop_
_atom_site_label
_atom_site_fract_x
_atom_site_fract_y
_atom_site_fract_z
Ac1 0.0000 0.0000 0.0000
Ac2 0.3285 0.6650 0.6722
Ac3 0.4377 0.8884 0.2236
Tb1 0.2230 0.4488 0.1109
Pr1 0.1094 0.2305 0.5503
```

The 10 most intense peaks (15 to 90 degrees two-theta), low angle first:
d [Å], intensity, hkl
3.131, 100, 2 1 1
2.726, 17, 1 1 3
2.708, 17, 1 2 -1
2.699, 17, 2 -1 0
1.921, 19, 2 3 2
1.912, 12, 1 -3 1
1.641, 16, 3 2 4
1.634, 11, 3 3 0
1.629, 11, -2 3 1
1.564, 10, 0 4 2

What did the second record say?
This entry pairs a crystal structure of Ac5Tb2Pr2 with its calculated powder diffraction line list. Radiation: λ = 1.5418 Å (Cu Kα). Structure: the GGA-PBE geometry in Alexandria.
Neutral-atom scattering factors, no anomalous dispersion.

Crystal structure
```
data_Ac5Tb2Pr2
_symmetry_space_group_name_H-M 'P -1'
_symmetry_Int_Tables_number 2
_symmetry_space_group_name_Hall '-P 1'
_cell_length_a 6.6260
_cell_length_b 6.6328
_cell_length_c 8.6180
_cell_angle_alpha 82.32
_cell_angle_beta 74.93
_cell_angle_gamma 80.12
loop_
_atom_site_label
_atom_site_fract_x
_atom_site_fract_y
_atom_site_fract_z
Ac1 0.0000 0.0000 0.0000
Ac2 0.3285 0.6650 0.6722
Ac3 0.4377 0.8884 0.2236
Tb1 0.2230 0.4488 0.1109
Pr1 0.1094 0.2305 0.5503
```

The 10 most intense peaks (15 to 90 degrees two-theta), low angle first:
d [Å], intensity, hkl
3.131, 100, 2 1 1
2.726, 17, 1 1 3
2.708, 17, 1 2 -1
2.699, 17, 2 -1 0
1.921, 19, 2 3 2
1.912, 12, 1 -3 1
1.641, 16, 3 2 4
1.634, 11, 3 3 0
1.629, 11, -2 3 1
1.564, 10, 0 4 2

Copy entry 2 word for word.
This entry pairs a crystal structure of Ac5Tb2Pr2 with its calculated powder diffraction line list. Radiation: λ = 1.5418 Å (Cu Kα). Structure: the GGA-PBE geometry in Alexandria.
Neutral-atom scattering factors, no anomalous dispersion.

Crystal structure
```
data_Ac5Tb2Pr2
_symmetry_space_group_name_H-M 'P -1'
_symmetry_Int_Tables_number 2
_symmetry_space_group_name_Hall '-P 1'
_cell_length_a 6.6260
_cell_length_b 6.6328
_cell_length_c 8.6180
_cell_angle_alpha 82.32
_cell_angle_beta 74.93
_cell_angle_gamma 80.12
loop_
_atom_site_label
_atom_site_fract_x
_atom_site_fract_y
_atom_site_fract_z
Ac1 0.0000 0.0000 0.0000
Ac2 0.3285 0.6650 0.6722
Ac3 0.4377 0.8884 0.2236
Tb1 0.2230 0.4488 0.1109
Pr1 0.1094 0.2305 0.5503
```

The 10 most intense peaks (15 to 90 degrees two-theta), low angle first:
d [Å], intensity, hkl
3.131, 100, 2 1 1
2.726, 17, 1 1 3
2.708, 17, 1 2 -1
2.699, 17, 2 -1 0
1.921, 19, 2 3 2
1.912, 12, 1 -3 1
1.641, 16, 3 2 4
1.634, 11, 3 3 0
1.629, 11, -2 3 1
1.564, 10, 0 4 2